The following is a computed X-ray diffraction stick pattern of InPb3S4. It was derived from a GGA-PBE-relaxed structure, using a wavelength of 1.5418 Å.
Lines closer than 0.1° are merged.

Cell and atoms:
a = 5.9292 Å, b = 9.0680 Å, c = 9.1889 Å
α = 90.00°, β = 90.00°, γ = 90.00°
Fractional positions:
In 0.2500 0.2500 0.1787
In 0.7500 0.7500 0.8213
Pb 0.2500 0.0159 0.6601
Pb 0.2500 0.4841 0.6601
Pb 0.2500 0.7500 0.1382
Pb 0.7500 0.2500 0.8618
Pb 0.7500 0.5159 0.3399
Pb 0.7500 0.9841 0.3399
S 0.2500 0.2500 0.8860
S 0.2500 0.5026 0.3320
S 0.2500 0.7500 0.8113
S 0.2500 0.9974 0.3320
S 0.7500 0.0026 0.6680
S 0.7500 0.2500 0.1887
S 0.7500 0.4974 0.6680
S 0.7500 0.7500 0.1140

Main lines, in order of falling intensity (2θ = 10–90°):
26.58 deg, rel. 100, hkl 1 2 1
21.86 deg, rel. 76, hkl 0 2 1
24.51 deg, rel. 76, hkl 1 0 2
35.36 deg, rel. 66, hkl 0 2 3
47.14 deg, rel. 59, hkl 2 2 3
30.14 deg, rel. 59, hkl 2 0 0
37.55 deg, rel. 38, hkl 2 2 1
47.27 deg, rel. 31, hkl 1 4 2
19.32 deg, rel. 26, hkl 0 0 2
50.69 deg, rel. 26, hkl 2 4 0

***

The following is a computed X-ray diffraction stick pattern of BeInNi. It was derived from a GGA-PBE-relaxed structure, using a wavelength of 1.5418 Å.
Lines closer than 0.1° are merged.

Cell and atoms:
a = 3.0206 Å, b = 3.0206 Å, c = 8.8831 Å
α = 90.00°, β = 90.00°, γ = 90.00°
Fractional positions:
Be 0.0000 0.0000 0.0000
Be 0.5000 0.5000 0.5000
In 0.0000 0.0000 0.7090
In 0.5000 0.5000 0.2090
Ni 0.0000 0.0000 0.4094
Ni 0.5000 0.5000 0.9094

Main lines, in order of falling intensity (2θ = 10–90°):
42.76 deg, rel. 100, hkl 1 0 3
31.28 deg, rel. 94, hkl 1 0 1
42.32 deg, rel. 58, hkl 1 1 0
77.70 deg, rel. 32, hkl 2 1 3
19.99 deg, rel. 26, hkl 0 0 2
60.10 deg, rel. 26, hkl 1 1 4
40.63 deg, rel. 21, hkl 0 0 4
61.39 deg, rel. 18, hkl 2 0 0
70.51 deg, rel. 17, hkl 2 1 1
82.44 deg, rel. 14, hkl 1 0 7

***

The following is a computed X-ray diffraction stick pattern of AlAg2W. It was derived from a GGA-PBE-relaxed structure, using a wavelength of 1.5418 Å.
Lines closer than 0.1° are merged.

Cell and atoms:
a = 3.8823 Å, b = 3.8823 Å, c = 4.3889 Å
α = 90.00°, β = 90.00°, γ = 90.00°
Fractional positions:
Al 0.0000 0.0000 0.0000
Ag 0.0000 0.5000 0.5000
Ag 0.5000 0.0000 0.5000
W 0.5000 0.5000 0.0000

Main lines, in order of falling intensity (2θ = 10–90°):
38.69 deg, rel. 100, hkl 1 1 1
46.80 deg, rel. 29, hkl 2 0 0
22.91 deg, rel. 24, hkl 1 0 0
30.75 deg, rel. 23, hkl 1 0 1
81.39 deg, rel. 22, hkl 3 1 1
64.04 deg, rel. 22, hkl 2 0 2
41.13 deg, rel. 21, hkl 0 0 2
73.33 deg, rel. 15, hkl 1 1 3
82.98 deg, rel. 11, hkl 2 2 2
68.34 deg, rel. 9, hkl 2 2 0